# 1
The following is a computed powder diffractogram of Pm3Al7Zn4. It was derived from a DFT-relaxed cell (GGA-PBE, Alexandria), using Cu Kα X-rays.
Lines closer than 0.1° are merged.

Atomic structure:
```
14
Lattice="8.0474 -2.1462 0.0000 8.0474 2.1462 0.0000 -6.0712 0.0000 7.8967" Properties=species:S:1:pos:R:3 pbc="T T T"
Pm 0.0000 0.0000 0.0000
Pm 3.1982 0.0000 2.4636
Pm 6.8254 0.0000 5.4332
Al -3.0356 0.0000 3.9484
Al -0.0863 0.0000 3.3181
Al -0.5435 0.0000 7.6648
Al 3.6499 0.0000 5.6165
Al 6.3737 0.0000 2.2802
Al 10.5671 0.0000 0.2320
Al 10.1099 0.0000 4.5787
Zn -3.0694 0.0000 6.7764
Zn 1.0912 0.0000 5.7011
Zn 8.9324 0.0000 2.1957
Zn 13.0930 0.0000 1.1203
```

Main lines, in order of rising 2θ (15° ≤ 2θ ≤ 90°):
2θ/deg	I_rel
17.8	29
22.5	51
22.6	33
29.6	60
34.1	100
34.5	37
34.6	94
34.9	98
36.1	29
42.1	53
42.5	48
67.7	24

=====

# 2
The following is a computed powder diffractogram of In3PO4F3. It was derived from a DFT-relaxed cell (GGA-PBE, Alexandria), using Cu Kα X-rays.
Lines closer than 0.1° are merged.

Atomic structure:
```
11
Lattice="4.6127 0.0000 0.0000 -1.5122 6.3314 0.0000 -1.5608 -3.1563 5.5046" Properties=species:S:1:pos:R:3 pbc="T T T"
In 0.0000 0.0000 0.0000
In -1.5225 3.1446 2.5683
In 1.5369 -0.6409 4.0115
P 0.6868 3.9988 0.3545
O -0.8963 4.0004 0.3501
O -0.4404 -0.2671 4.8720
O -0.4424 2.2540 5.3923
O 1.1158 3.7009 1.8104
F 0.4108 -0.4518 2.0907
F 1.9498 1.3855 3.3494
F 3.5027 1.5622 1.1425
```

Main lines, in order of rising 2θ (15° ≤ 2θ ≤ 90°):
2θ/deg	I_rel
21.4	56
26.9	100
28.1	68
28.2	34
31.5	61
31.6	30
39.3	24
40.2	27
43.5	34
43.7	37
46.0	30
46.8	24

=====

# 3
The following is a computed powder diffractogram of TiVGaHg2. It was derived from a DFT-relaxed cell (GGA-PBE, Alexandria), using Cu Kα X-rays.
Lines closer than 0.1° are merged.

Atomic structure:
```
5
Lattice="4.8737 0.0000 0.0000 0.0000 4.8737 0.0000 0.0000 0.0000 4.8404" Properties=species:S:1:pos:R:3 pbc="T T T"
Ti 0.0000 0.0000 0.0000
V 2.4369 2.4369 0.0000
Ga 0.0000 0.0000 2.4202
Hg 0.0000 2.4369 2.4202
Hg 2.4369 0.0000 2.4202
```

Main lines, in order of rising 2θ (15° ≤ 2θ ≤ 90°):
2θ/deg	I_rel
18.3	72
25.9	29
31.9	100
36.9	61
37.1	30
41.5	40
53.2	21
53.4	42
56.7	16
63.3	28
63.7	14
66.6	21